This entry pairs a crystal structure of Y2GaRh3 with its theoretical powder XRD pattern. Radiation: Cu Kα. Structure: a PBE-relaxed structure.
Lines closer than 0.1° are merged.

Top 12 peaks for 10 to 80 degrees two-theta, by intensity:
Position (°2θ), I/Imax
39.2, 100
37.8, 74
40.0, 67
42.0, 33
66.6, 32
35.2, 30
61.8, 25
74.4, 23
31.9, 19
45.4, 19
63.8, 18
66.9, 15

Crystal structure
Cell lengths 5.142, 5.142, 5.142 Å; angles 66.15, 66.15, 66.15 degrees
Fractional coordinates of all 6 atoms:
Y  0.130  0.130  0.130
Y  0.870  0.870  0.870
Ga  0.500  0.500  0.500
Rh  0.000  0.500  0.500
Rh  0.500  0.000  0.500
Rh  0.500  0.500  0.000